# 1
Starting from DFT lattice parameters and positions (GGA-PBE), the X-ray powder pattern of TmHgIrO6 was calculated for Cu Kα (weighted mean of Kα1 and Kα2).
Intensities are scaled so that the largest is 100.

The 10 most intense peaks (2θ = 10–90°), by intensity:
26.7 deg, I = 100; 32.3 deg, I = 56; 51.4 deg, I = 42; 42.4 deg, I = 29; 54.2 deg, I = 29; 57.5 deg, I = 16; 74.0 deg, I = 12; 71.6 deg, I = 11; 80.8 deg, I = 11; 38.9 deg, I = 9

Crystal structure
```
data_TmHgIrO6
_chemical_formula_sum 'Tm2 Hg2 Ir2 O12'
_space_group_name_H-M_alt 'P 1'
_space_group_IT_number 1
_cell_length_a 5.549
_cell_length_b 5.549
_cell_length_c 9.264
_cell_angle_alpha 90.00
_cell_angle_beta 90.00
_cell_angle_gamma 120.00
loop_
_space_group_symop_operation_xyz
'x,y,z'
loop_
_atom_site_label
_atom_site_type_symbol
_atom_site_fract_x
_atom_site_fract_y
_atom_site_fract_z
_atom_site_occupancy
Tm1 Tm 0.333 0.667 0.250 1
Tm2 Tm 0.667 0.333 0.750 1
Hg1 Hg 0.000 0.000 0.000 1
Hg2 Hg 0.000 0.000 0.500 1
Ir1 Ir 0.333 0.667 0.750 1
Ir2 Ir 0.667 0.333 0.250 1
O1 O 0.038 0.389 0.633 1
O2 O 0.038 0.649 0.867 1
O3 O 0.351 0.389 0.867 1
O4 O 0.351 0.962 0.633 1
O5 O 0.389 0.038 0.133 1
O6 O 0.389 0.351 0.367 1
O7 O 0.611 0.649 0.633 1
O8 O 0.611 0.962 0.867 1
O9 O 0.649 0.038 0.367 1
O10 O 0.649 0.611 0.133 1
O11 O 0.962 0.351 0.133 1
O12 O 0.962 0.611 0.367 1
```

# 2
Starting from DFT lattice parameters and positions (GGA-PBE), the X-ray powder pattern of Hg3IrOs was calculated for Cu Kα (weighted mean of Kα1 and Kα2).
Intensities are scaled so that the largest is 100.

The 10 most intense peaks (2θ = 10–90°), by intensity:
34.5 deg, I = 100; 29.8 deg, I = 73; 49.6 deg, I = 73; 83.1 deg, I = 34; 58.9 deg, I = 33; 61.8 deg, I = 25; 17.1 deg, I = 23; 24.2 deg, I = 16; 80.6 deg, I = 14; 38.7 deg, I = 13

Crystal structure
```
data_Hg3IrOs
_chemical_formula_sum 'Hg3 Ir1 Os1'
_space_group_name_H-M_alt 'P 1'
_space_group_IT_number 1
_cell_length_a 5.197
_cell_length_b 5.197
_cell_length_c 5.197
_cell_angle_alpha 90.00
_cell_angle_beta 90.00
_cell_angle_gamma 90.00
loop_
_space_group_symop_operation_xyz
'x,y,z'
loop_
_atom_site_label
_atom_site_type_symbol
_atom_site_fract_x
_atom_site_fract_y
_atom_site_fract_z
_atom_site_occupancy
Hg1 Hg 0.000 0.000 0.500 1
Hg2 Hg 0.000 0.500 0.000 1
Hg3 Hg 0.500 0.000 0.000 1
Ir1 Ir 0.000 0.000 0.000 1
Os1 Os 0.500 0.500 0.500 1
```

# 3
Starting from DFT lattice parameters and positions (GGA-PBE), the X-ray powder pattern of Pm4HgIr2 was calculated for Cu Kα (weighted mean of Kα1 and Kα2).
Intensities are scaled so that the largest is 100.

The 10 most intense peaks (2θ = 10–90°), by intensity:
31.5 deg, I = 100; 32.2 deg, I = 71; 35.3 deg, I = 66; 44.1 deg, I = 33; 28.5 deg, I = 31; 39.9 deg, I = 27; 32.4 deg, I = 25; 41.9 deg, I = 24; 46.1 deg, I = 23; 34.0 deg, I = 18

Crystal structure
```
data_Pm4HgIr2
_chemical_formula_sum 'Pm8 Hg2 Ir4'
_space_group_name_H-M_alt 'P 1'
_space_group_IT_number 1
_cell_length_a 8.705
_cell_length_b 7.130
_cell_length_c 9.395
_cell_angle_alpha 61.79
_cell_angle_beta 46.21
_cell_angle_gamma 72.00
loop_
_space_group_symop_operation_xyz
'x,y,z'
loop_
_atom_site_label
_atom_site_type_symbol
_atom_site_fract_x
_atom_site_fract_y
_atom_site_fract_z
_atom_site_occupancy
Pm1 Pm 0.094 0.219 0.048 1
Pm2 Pm 0.202 0.610 0.156 1
Pm3 Pm 0.219 0.094 0.640 1
Pm4 Pm 0.349 0.651 0.417 1
Pm5 Pm 0.610 0.202 0.031 1
Pm6 Pm 0.651 0.349 0.583 1
Pm7 Pm 0.667 0.833 0.599 1
Pm8 Pm 0.833 0.667 0.901 1
Hg1 Hg 0.083 0.083 0.417 1
Hg2 Hg 0.833 0.833 0.167 1
Ir1 Ir 0.290 0.633 0.773 1
Ir2 Ir 0.477 0.946 0.960 1
Ir3 Ir 0.633 0.290 0.304 1
Ir4 Ir 0.946 0.477 0.617 1
```

# 4
Starting from DFT lattice parameters and positions (GGA-PBE), the X-ray powder pattern of Pr4Hg5Ir2 was calculated for Cu Kα (weighted mean of Kα1 and Kα2).
Intensities are scaled so that the largest is 100.

The 10 most intense peaks (2θ = 10–90°), by intensity:
32.4 deg, I = 100; 34.5 deg, I = 83; 32.7 deg, I = 74; 31.4 deg, I = 74; 23.3 deg, I = 57; 36.4 deg, I = 53; 34.3 deg, I = 51; 47.6 deg, I = 51; 37.4 deg, I = 49; 36.8 deg, I = 44

Crystal structure
```
data_Pr4Hg5Ir2
_chemical_formula_sum 'Pr4 Hg5 Ir2'
_space_group_name_H-M_alt 'P 1'
_space_group_IT_number 1
_cell_length_a 7.863
_cell_length_b 3.822
_cell_length_c 9.751
_cell_angle_alpha 90.00
_cell_angle_beta 94.63
_cell_angle_gamma 90.00
loop_
_space_group_symop_operation_xyz
'x,y,z'
loop_
_atom_site_label
_atom_site_type_symbol
_atom_site_fract_x
_atom_site_fract_y
_atom_site_fract_z
_atom_site_occupancy
Pr1 Pr 0.182 0.000 0.349 1
Pr2 Pr 0.220 0.000 0.940 1
Pr3 Pr 0.780 0.000 0.060 1
Pr4 Pr 0.818 0.000 0.651 1
Hg1 Hg 0.169 0.500 0.645 1
Hg2 Hg 0.455 0.500 0.171 1
Hg3 Hg 0.500 0.500 0.500 1
Hg4 Hg 0.545 0.500 0.829 1
Hg5 Hg 0.831 0.500 0.355 1
Ir1 Ir 0.076 0.500 0.140 1
Ir2 Ir 0.924 0.500 0.860 1
```

# 5
Starting from DFT lattice parameters and positions (GGA-PBE), the X-ray powder pattern of Pr5HgIr was calculated for Cu Kα (weighted mean of Kα1 and Kα2).
Intensities are scaled so that the largest is 100.

The 10 most intense peaks (2θ = 10–90°), by intensity:
29.8 deg, I = 100; 29.5 deg, I = 88; 31.3 deg, I = 82; 38.0 deg, I = 31; 32.8 deg, I = 30; 38.9 deg, I = 25; 36.1 deg, I = 25; 47.6 deg, I = 21; 19.3 deg, I = 20; 52.5 deg, I = 18

Crystal structure
```
data_Pr5HgIr
_chemical_formula_sum 'Pr10 Hg2 Ir2'
_space_group_name_H-M_alt 'P 1'
_space_group_IT_number 1
_cell_length_a 6.271
_cell_length_b 6.271
_cell_length_c 12.056
_cell_angle_alpha 103.02
_cell_angle_beta 103.02
_cell_angle_gamma 76.14
loop_
_space_group_symop_operation_xyz
'x,y,z'
loop_
_atom_site_label
_atom_site_type_symbol
_atom_site_fract_x
_atom_site_fract_y
_atom_site_fract_z
_atom_site_occupancy
Pr1 Pr 0.016 0.984 0.750 1
Pr2 Pr 0.077 0.423 0.130 1
Pr3 Pr 0.213 0.549 0.444 1
Pr4 Pr 0.423 0.077 0.630 1
Pr5 Pr 0.451 0.787 0.056 1
Pr6 Pr 0.549 0.213 0.944 1
Pr7 Pr 0.577 0.923 0.370 1
Pr8 Pr 0.787 0.451 0.556 1
Pr9 Pr 0.923 0.577 0.870 1
Pr10 Pr 0.984 0.016 0.250 1
Hg1 Hg 0.421 0.579 0.750 1
Hg2 Hg 0.579 0.421 0.250 1
Ir1 Ir 0.000 0.000 0.000 1
Ir2 Ir 0.000 0.000 0.500 1
```

# 6
Starting from DFT lattice parameters and positions (GGA-PBE), the X-ray powder pattern of Pr8Hg2Ir3 was calculated for Cu Kα (weighted mean of Kα1 and Kα2).
Intensities are scaled so that the largest is 100.

The 10 most intense peaks (2θ = 10–90°), by intensity:
34.5 deg, I = 100; 34.8 deg, I = 25; 35.1 deg, I = 25; 62.6 deg, I = 18; 50.3 deg, I = 18; 62.2 deg, I = 18; 21.1 deg, I = 14; 21.0 deg, I = 14; 84.1 deg, I = 12; 72.8 deg, I = 10

Crystal structure
```
data_Pr8Hg2Ir3
_chemical_formula_sum 'Pr8 Hg2 Ir3'
_space_group_name_H-M_alt 'P 1'
_space_group_IT_number 1
_cell_length_a 9.057
_cell_length_b 5.111
_cell_length_c 9.064
_cell_angle_alpha 90.00
_cell_angle_beta 110.65
_cell_angle_gamma 90.00
loop_
_space_group_symop_operation_xyz
'x,y,z'
loop_
_atom_site_label
_atom_site_type_symbol
_atom_site_fract_x
_atom_site_fract_y
_atom_site_fract_z
_atom_site_occupancy
Pr1 Pr 0.114 0.000 0.386 1
Pr2 Pr 0.141 0.500 0.869 1
Pr3 Pr 0.370 0.500 0.641 1
Pr4 Pr 0.385 0.000 0.114 1
Pr5 Pr 0.615 0.000 0.886 1
Pr6 Pr 0.630 0.500 0.359 1
Pr7 Pr 0.859 0.500 0.131 1
Pr8 Pr 0.886 0.000 0.614 1
Hg1 Hg 0.242 0.500 0.257 1
Hg2 Hg 0.758 0.500 0.743 1
Ir1 Ir 0.240 0.000 0.740 1
Ir2 Ir 0.500 0.500 0.000 1
Ir3 Ir 0.760 0.000 0.260 1
```

# 7
Starting from DFT lattice parameters and positions (GGA-PBE), the X-ray powder pattern of Pr5Hg4Ir was calculated for Cu Kα (weighted mean of Kα1 and Kα2).
Intensities are scaled so that the largest is 100.

The 10 most intense peaks (2θ = 10–90°), by intensity:
33.1 deg, I = 100; 33.7 deg, I = 50; 59.9 deg, I = 37; 48.4 deg, I = 19; 58.7 deg, I = 17; 69.4 deg, I = 10; 80.8 deg, I = 8; 46.5 deg, I = 8; 80.4 deg, I = 8; 70.9 deg, I = 6

Crystal structure
```
data_Pr5Hg4Ir
_chemical_formula_sum 'Pr5 Hg4 Ir1'
_space_group_name_H-M_alt 'P 1'
_space_group_IT_number 1
_cell_length_a 3.762
_cell_length_b 3.762
_cell_length_c 19.522
_cell_angle_alpha 90.00
_cell_angle_beta 90.00
_cell_angle_gamma 90.00
loop_
_space_group_symop_operation_xyz
'x,y,z'
loop_
_atom_site_label
_atom_site_type_symbol
_atom_site_fract_x
_atom_site_fract_y
_atom_site_fract_z
_atom_site_occupancy
Pr1 Pr 0.000 0.000 0.000 1
Pr2 Pr 0.000 0.000 0.206 1
Pr3 Pr 0.000 0.000 0.416 1
Pr4 Pr 0.000 0.000 0.584 1
Pr5 Pr 0.000 0.000 0.794 1
Hg1 Hg 0.500 0.500 0.103 1
Hg2 Hg 0.500 0.500 0.306 1
Hg3 Hg 0.500 0.500 0.694 1
Hg4 Hg 0.500 0.500 0.897 1
Ir1 Ir 0.500 0.500 0.500 1
```

# 8
Starting from DFT lattice parameters and positions (GGA-PBE), the X-ray powder pattern of HgIr2Pt was calculated for Cu Kα (weighted mean of Kα1 and Kα2).
Intensities are scaled so that the largest is 100.

The 10 most intense peaks (2θ = 10–90°), by intensity:
41.8 deg, I = 100; 36.7 deg, I = 70; 69.5 deg, I = 42; 52.8 deg, I = 24; 79.6 deg, I = 15; 89.4 deg, I = 10; 78.0 deg, I = 7; 67.8 deg, I = 6; 60.9 deg, I = 2; 27.3 deg, I = 2

Crystal structure
```
data_HgIr2Pt
_chemical_formula_sum 'Hg2 Ir4 Pt2'
_space_group_name_H-M_alt 'P 1'
_space_group_IT_number 1
_cell_length_a 2.765
_cell_length_b 4.901
_cell_length_c 9.804
_cell_angle_alpha 90.00
_cell_angle_beta 90.00
_cell_angle_gamma 90.00
loop_
_space_group_symop_operation_xyz
'x,y,z'
loop_
_atom_site_label
_atom_site_type_symbol
_atom_site_fract_x
_atom_site_fract_y
_atom_site_fract_z
_atom_site_occupancy
Hg1 Hg 0.000 0.000 0.000 1
Hg2 Hg 0.500 0.500 0.000 1
Ir1 Ir 0.000 0.000 0.492 1
Ir2 Ir 0.000 0.500 0.264 1
Ir3 Ir 0.500 0.000 0.264 1
Ir4 Ir 0.500 0.500 0.492 1
Pt1 Pt 0.000 0.500 0.733 1
Pt2 Pt 0.500 0.000 0.733 1
```

# 9
Starting from DFT lattice parameters and positions (GGA-PBE), the X-ray powder pattern of Hg3IrRh was calculated for Cu Kα (weighted mean of Kα1 and Kα2).
Intensities are scaled so that the largest is 100.

The 10 most intense peaks (2θ = 10–90°), by intensity:
34.7 deg, I = 100; 49.9 deg, I = 73; 29.9 deg, I = 66; 17.1 deg, I = 54; 83.6 deg, I = 34; 38.9 deg, I = 29; 59.3 deg, I = 29; 62.2 deg, I = 25; 53.1 deg, I = 15; 81.1 deg, I = 12

Crystal structure
```
data_Hg3IrRh
_chemical_formula_sum 'Hg3 Ir1 Rh1'
_space_group_name_H-M_alt 'P 1'
_space_group_IT_number 1
_cell_length_a 5.171
_cell_length_b 5.171
_cell_length_c 5.171
_cell_angle_alpha 90.00
_cell_angle_beta 90.00
_cell_angle_gamma 90.00
loop_
_space_group_symop_operation_xyz
'x,y,z'
loop_
_atom_site_label
_atom_site_type_symbol
_atom_site_fract_x
_atom_site_fract_y
_atom_site_fract_z
_atom_site_occupancy
Hg1 Hg 0.000 0.000 0.500 1
Hg2 Hg 0.000 0.500 0.000 1
Hg3 Hg 0.500 0.000 0.000 1
Ir1 Ir 0.000 0.000 0.000 1
Rh1 Rh 0.500 0.500 0.500 1
```

# 10
Starting from DFT lattice parameters and positions (GGA-PBE), the X-ray powder pattern of HgIr2Ru2 was calculated for Cu Kα (weighted mean of Kα1 and Kα2).
Intensities are scaled so that the largest is 100.

The 10 most intense peaks (2θ = 10–90°), by intensity:
42.0 deg, I = 100; 37.2 deg, I = 91; 40.2 deg, I = 52; 33.2 deg, I = 25; 61.5 deg, I = 22; 79.9 deg, I = 20; 71.7 deg, I = 20; 26.1 deg, I = 17; 60.1 deg, I = 17; 49.2 deg, I = 16

Crystal structure
```
data_HgIr2Ru2
_chemical_formula_sum 'Hg2 Ir4 Ru4'
_space_group_name_H-M_alt 'P 1'
_space_group_IT_number 1
_cell_length_a 7.634
_cell_length_b 7.634
_cell_length_c 2.768
_cell_angle_alpha 90.00
_cell_angle_beta 90.00
_cell_angle_gamma 90.00
loop_
_space_group_symop_operation_xyz
'x,y,z'
loop_
_atom_site_label
_atom_site_type_symbol
_atom_site_fract_x
_atom_site_fract_y
_atom_site_fract_z
_atom_site_occupancy
Hg1 Hg 0.000 0.000 0.000 1
Hg2 Hg 0.500 0.500 0.000 1
Ir1 Ir 0.169 0.331 0.500 1
Ir2 Ir 0.331 0.831 0.500 1
Ir3 Ir 0.669 0.169 0.500 1
Ir4 Ir 0.831 0.669 0.500 1
Ru1 Ru 0.123 0.623 0.000 1
Ru2 Ru 0.377 0.123 0.000 1
Ru3 Ru 0.623 0.877 0.000 1
Ru4 Ru 0.877 0.377 0.000 1
```

# 11
Starting from DFT lattice parameters and positions (GGA-PBE), the X-ray powder pattern of Sc6Hg5Ir was calculated for Cu Kα (weighted mean of Kα1 and Kα2).
Intensities are scaled so that the largest is 100.

The 10 most intense peaks (2θ = 10–90°), by intensity:
36.4 deg, I = 100; 36.9 deg, I = 48; 25.8 deg, I = 48; 25.3 deg, I = 26; 45.2 deg, I = 23; 65.3 deg, I = 18; 66.1 deg, I = 17; 53.1 deg, I = 16; 66.2 deg, I = 16; 58.8 deg, I = 11

Crystal structure
```
data_Sc6Hg5Ir
_chemical_formula_sum 'Sc6 Hg5 Ir1'
_space_group_name_H-M_alt 'P 1'
_space_group_IT_number 1
_cell_length_a 7.702
_cell_length_b 7.702
_cell_length_c 7.052
_cell_angle_alpha 90.00
_cell_angle_beta 90.00
_cell_angle_gamma 143.04
loop_
_space_group_symop_operation_xyz
'x,y,z'
loop_
_atom_site_label
_atom_site_type_symbol
_atom_site_fract_x
_atom_site_fract_y
_atom_site_fract_z
_atom_site_occupancy
Sc1 Sc 0.000 0.000 0.229 1
Sc2 Sc 0.000 0.000 0.771 1
Sc3 Sc 0.344 0.656 0.239 1
Sc4 Sc 0.344 0.656 0.761 1
Sc5 Sc 0.656 0.344 0.239 1
Sc6 Sc 0.656 0.344 0.761 1
Hg1 Hg 0.170 0.830 0.500 1
Hg2 Hg 0.175 0.825 0.000 1
Hg3 Hg 0.500 0.500 0.500 1
Hg4 Hg 0.825 0.175 0.000 1
Hg5 Hg 0.830 0.170 0.500 1
Ir1 Ir 0.500 0.500 0.000 1
```

# 12
Starting from DFT lattice parameters and positions (GGA-PBE), the X-ray powder pattern of ScHgIr3 was calculated for Cu Kα (weighted mean of Kα1 and Kα2).
Intensities are scaled so that the largest is 100.

The 9 most intense peaks (2θ = 10–90°), by intensity:
32.9 deg, I = 100; 38.2 deg, I = 64; 55.1 deg, I = 44; 65.7 deg, I = 43; 69.0 deg, I = 15; 81.7 deg, I = 7; 26.7 deg, I = 2; 18.8 deg, I = 1; 47.2 deg, I = 1

Crystal structure
```
data_ScHgIr3
_chemical_formula_sum 'Sc1 Hg1 Ir3'
_space_group_name_H-M_alt 'P 1'
_space_group_IT_number 1
_cell_length_a 4.714
_cell_length_b 4.714
_cell_length_c 4.714
_cell_angle_alpha 90.00
_cell_angle_beta 90.00
_cell_angle_gamma 90.00
loop_
_space_group_symop_operation_xyz
'x,y,z'
loop_
_atom_site_label
_atom_site_type_symbol
_atom_site_fract_x
_atom_site_fract_y
_atom_site_fract_z
_atom_site_occupancy
Sc1 Sc 0.000 0.000 0.000 1
Hg1 Hg 0.500 0.500 0.500 1
Ir1 Ir 0.000 0.000 0.500 1
Ir2 Ir 0.000 0.500 0.000 1
Ir3 Ir 0.500 0.000 0.000 1
```

Copy entry 6 word for word.
Starting from DFT lattice parameters and positions (GGA-PBE), the X-ray powder pattern of Pr8Hg2Ir3 was calculated for Cu Kα (weighted mean of Kα1 and Kα2).
Intensities are scaled so that the largest is 100.

The 10 most intense peaks (2θ = 10–90°), by intensity:
34.5 deg, I = 100; 34.8 deg, I = 25; 35.1 deg, I = 25; 62.6 deg, I = 18; 50.3 deg, I = 18; 62.2 deg, I = 18; 21.1 deg, I = 14; 21.0 deg, I = 14; 84.1 deg, I = 12; 72.8 deg, I = 10

Crystal structure
```
data_Pr8Hg2Ir3
_chemical_formula_sum 'Pr8 Hg2 Ir3'
_space_group_name_H-M_alt 'P 1'
_space_group_IT_number 1
_cell_length_a 9.057
_cell_length_b 5.111
_cell_length_c 9.064
_cell_angle_alpha 90.00
_cell_angle_beta 110.65
_cell_angle_gamma 90.00
loop_
_space_group_symop_operation_xyz
'x,y,z'
loop_
_atom_site_label
_atom_site_type_symbol
_atom_site_fract_x
_atom_site_fract_y
_atom_site_fract_z
_atom_site_occupancy
Pr1 Pr 0.114 0.000 0.386 1
Pr2 Pr 0.141 0.500 0.869 1
Pr3 Pr 0.370 0.500 0.641 1
Pr4 Pr 0.385 0.000 0.114 1
Pr5 Pr 0.615 0.000 0.886 1
Pr6 Pr 0.630 0.500 0.359 1
Pr7 Pr 0.859 0.500 0.131 1
Pr8 Pr 0.886 0.000 0.614 1
Hg1 Hg 0.242 0.500 0.257 1
Hg2 Hg 0.758 0.500 0.743 1
Ir1 Ir 0.240 0.000 0.740 1
Ir2 Ir 0.500 0.500 0.000 1
Ir3 Ir 0.760 0.000 0.260 1
```